Computed X-ray diffraction stick pattern of ErPaAs2N for Cu Kα (λ = 1.5418 Å), from a cell relaxed with GGA-PBE.

Largest 10 diffraction maxima, sorted by position, 2θ from 5° to 70°:
- (0 0 2), d = 6.743 Å, intensity 19
- (1 0 2), d = 3.417 Å, intensity 61
- (0 0 4), d = 3.371 Å, intensity 33
- (1 0 3), d = 2.973 Å, intensity 22
- (1 1 0), d = 2.803 Å, intensity 100
- (1 0 4), d = 2.568 Å, intensity 57
- (1 1 4), d = 2.155 Å, intensity 46
- (2 0 0), d = 1.982 Å, intensity 41
- (2 0 4), d = 1.709 Å, intensity 20
- (2 1 4), d = 1.569 Å, intensity 26

Structure:
```
ErPaAs2N
1.0
3.964 0.000 0.000
0.000 3.964 0.000
0.000 0.000 13.486
Er Pa As N
2 2 4 2
Direct
0.250 0.250 0.105
0.750 0.750 0.895
0.250 0.250 0.588
0.750 0.750 0.412
0.250 0.250 0.314
0.250 0.250 0.886
0.750 0.750 0.114
0.750 0.750 0.686
0.250 0.750 0.500
0.750 0.250 0.500
```